The following is a calculated XRD peak list of Na3AlN2. It was derived from a GGA-PBE-relaxed structure, using Cu Kα X-rays.
Intensities are scaled so that the largest is 100.

Cell and atoms:
Cell lengths 6.493, 8.484, 8.603 Å; angles 90.00, 117.55, 90.00 degrees
Atoms (fractional coordinates):
1 Na 0.248 0.004 0.379
2 Na 0.248 0.496 0.879
3 Na 0.250 0.203 0.685
4 Na 0.250 0.297 0.185
5 Na 0.250 0.501 0.505
6 Na 0.250 0.999 0.005
7 Na 0.750 0.001 0.995
8 Na 0.750 0.499 0.495
9 Na 0.750 0.703 0.815
10 Na 0.750 0.797 0.315
11 Na 0.752 0.504 0.121
12 Na 0.752 0.996 0.621
13 Al 0.229 0.682 0.185
14 Al 0.229 0.818 0.685
15 Al 0.771 0.182 0.315
16 Al 0.771 0.318 0.815
17 N 0.017 0.210 0.845
18 N 0.017 0.290 0.345
19 N 0.453 0.554 0.210
20 N 0.453 0.946 0.710
21 N 0.547 0.054 0.290
22 N 0.547 0.446 0.790
23 N 0.983 0.710 0.655
24 N 0.983 0.790 0.155

The 6 most intense peaks (2θ from 10° to 90°), sorted by position:
2θ 31.07, 2.878 Å, I = 100
2θ 31.54, 2.836 Å, I = 79
2θ 34.90, 2.571 Å, I = 81
2θ 36.01, 2.494 Å, I = 84
2θ 36.26, 2.478 Å, I = 77
2θ 36.91, 2.436 Å, I = 89

The following is a calculated XRD peak list of Na3AlN2. It was derived from a GGA-PBE-relaxed structure, using Cu Kα X-rays.
Intensities are scaled so that the largest is 100.

Cell and atoms:
Cell lengths 9.275, 9.275, 9.275 Å; angles 109.47, 109.47, 109.47 degrees
Atoms (fractional coordinates):
1 Na 0.028 0.759 0.960
2 Na 0.040 0.972 0.241
3 Na 0.068 0.540 0.299
4 Na 0.201 0.741 0.769
5 Na 0.231 0.799 0.259
6 Na 0.241 0.040 0.972
7 Na 0.259 0.231 0.799
8 Na 0.269 0.528 0.568
9 Na 0.299 0.068 0.540
10 Na 0.432 0.731 0.472
11 Na 0.460 0.701 0.932
12 Na 0.472 0.432 0.731
13 Na 0.528 0.568 0.269
14 Na 0.540 0.299 0.068
15 Na 0.568 0.269 0.528
16 Na 0.701 0.932 0.460
17 Na 0.731 0.472 0.432
18 Na 0.741 0.769 0.201
19 Na 0.759 0.960 0.028
20 Na 0.769 0.201 0.741
21 Na 0.799 0.259 0.231
22 Na 0.932 0.460 0.701
23 Na 0.960 0.028 0.759
24 Na 0.972 0.241 0.040
25 Al 0.000 0.210 0.500
26 Al 0.000 0.790 0.500
27 Al 0.210 0.500 0.000
28 Al 0.290 0.290 0.290
29 Al 0.500 0.000 0.210
30 Al 0.500 0.000 0.790
31 Al 0.710 0.710 0.710
32 Al 0.790 0.500 0.000
33 N 0.000 0.000 0.500
34 N 0.000 0.500 0.000
35 N 0.072 0.250 0.322
36 N 0.178 0.428 0.750
37 N 0.250 0.322 0.072
38 N 0.250 0.822 0.572
39 N 0.322 0.072 0.250
40 N 0.428 0.750 0.178
41 N 0.500 0.000 0.000
42 N 0.500 0.500 0.500
43 N 0.572 0.250 0.822
44 N 0.678 0.928 0.750
45 N 0.750 0.178 0.428
46 N 0.750 0.678 0.928
47 N 0.822 0.572 0.250
48 N 0.928 0.750 0.678

The 6 most intense peaks (2θ from 10° to 90°), sorted by position:
2θ 28.88, 3.092 Å, I = 24
2θ 33.47, 2.677 Å, I = 88
2θ 35.57, 2.524 Å, I = 27
2θ 43.07, 2.100 Å, I = 100
2θ 48.06, 1.893 Å, I = 83
2θ 76.52, 1.245 Å, I = 34

The following is a calculated XRD peak list of Nb3AlN4. It was derived from a GGA-PBE-relaxed structure, using Cu Kα X-rays.
Intensities are scaled so that the largest is 100.

Cell and atoms:
Cell lengths 10.772, 10.772, 10.772 Å; angles 16.08, 16.08, 16.08 degrees
Atoms (fractional coordinates):
1 Nb 0.000 0.000 0.000
2 Nb 0.248 0.248 0.248
3 Nb 0.752 0.752 0.752
4 Al 0.500 0.500 0.500
5 N 0.132 0.132 0.132
6 N 0.376 0.376 0.376
7 N 0.624 0.624 0.624
8 N 0.868 0.868 0.868

The 6 most intense peaks (2θ from 10° to 90°), sorted by position:
2θ 33.72, 2.658 Å, I = 31
2θ 36.23, 2.480 Å, I = 75
2θ 41.36, 2.183 Å, I = 100
2θ 58.25, 1.584 Å, I = 33
2θ 61.57, 1.506 Å, I = 29
2θ 72.07, 1.310 Å, I = 21